Structure and theoretical powder XRD pattern of Zn2Cr3FeO8 (DFT lattice parameters and positions (GGA+U); CuKα).
No peak broadening, texture or thermal motion is included.

Cell and atoms:
a = 6.0073 Å, b = 6.0073 Å, c = 6.0073 Å
α = 60.11°, β = 60.11°, γ = 60.11°
Element x y z (fractional)
Zn  0.1245  0.1245  0.1245
Zn  0.8755  0.8755  0.8755
Cr  0.0000  0.5000  0.5000
Cr  0.5000  0.0000  0.5000
Cr  0.5000  0.5000  0.0000
Fe  0.5000  0.5000  0.5000
O  0.2605  0.2605  0.7164
O  0.2605  0.7164  0.2605
O  0.2615  0.2615  0.2615
O  0.2836  0.7395  0.7395
O  0.7164  0.2605  0.2605
O  0.7385  0.7385  0.7385
O  0.7395  0.2836  0.7395
O  0.7395  0.7395  0.2836

Main lines, by angle (5 to 70 degrees two-theta):
- 2θ = 18.07°, intensity 3.3
- 2θ = 29.72°, intensity 38.6
- 2θ = 35.00°, intensity 100.0
- 2θ = 36.61°, intensity 5.9
- 2θ = 42.53°, intensity 12.7
- 2θ = 52.72°, intensity 10.1
- 2θ = 52.82°, intensity 3.7
- 2θ = 56.21°, intensity 35.4
- 2θ = 61.66°, intensity 21.6
- 2θ = 61.77°, intensity 21.4